(1)
Diffraction record for Fe3Co2H2. The PXRD pattern is computed, not measured: it uses a DFT-relaxed cell (PBE, Alexandria) and Cu Kα.
Neutral-atom scattering factors, no anomalous dispersion.

Main lines, by intensity (2θ = 10–80°):
2θ 41.48, rel. 1000; 2θ 44.26, rel. 668; 2θ 50.67, rel. 547; 2θ 41.96, rel. 532; 2θ 46.89, rel. 531; 2θ 35.32, rel. 258; 2θ 60.90, rel. 248; 2θ 41.16, rel. 214; 2θ 13.46, rel. 160; 2θ 49.37, rel. 151

Structural model:
```
data_Fe3Co2H2
_chemical_formula_sum 'Fe6 Co4 H4'
_cell_length_a 2.590
_cell_length_b 3.876
_cell_length_c 13.158
_cell_angle_alpha 90.00
_cell_angle_beta 90.00
_cell_angle_gamma 90.00
_symmetry_space_group_name_H-M 'P 1'
_symmetry_Int_Tables_number 1
_symmetry_space_group_name_Hall 'P 1'
loop_
_atom_site_label
_atom_site_type_symbol
_atom_site_fract_x
_atom_site_fract_y
_atom_site_fract_z
Fe1 Fe 0.000 0.000 0.000
Fe2 Fe 0.000 0.500 0.310
Fe3 Fe 0.000 0.500 0.690
Fe4 Fe 0.500 0.000 0.190
Fe5 Fe 0.500 0.000 0.810
Fe6 Fe 0.500 0.500 0.500
Co1 Co 0.000 0.500 0.131
Co2 Co 0.000 0.500 0.869
Co3 Co 0.500 0.000 0.369
Co4 Co 0.500 0.000 0.631
H1 H 0.000 0.000 0.440
H2 H 0.000 0.000 0.560
H3 H 0.500 0.500 0.060
H4 H 0.500 0.500 0.940
```

---

(2)
Diffraction record for Ho2Th5Sc5. The PXRD pattern is computed, not measured: it uses a DFT-relaxed cell (PBE, Alexandria) and Cu Kα.
Neutral-atom scattering factors, no anomalous dispersion.

Main lines, by intensity (2θ = 10–80°):
2θ 31.85, rel. 1000; 2θ 19.55, rel. 183; 2θ 53.23, rel. 177; 2θ 36.77, rel. 170; 2θ 36.94, rel. 168; 2θ 37.12, rel. 166; 2θ 63.27, rel. 142; 2θ 63.63, rel. 139; 2θ 53.37, rel. 117; 2θ 19.44, rel. 88

Structural model:
```
data_Ho2Th5Sc5
_chemical_formula_sum 'Ho2 Th5 Sc5'
_cell_length_a 7.692
_cell_length_b 7.692
_cell_length_c 10.937
_cell_angle_alpha 115.18
_cell_angle_beta 115.18
_cell_angle_gamma 36.70
_symmetry_space_group_name_H-M 'P 1'
_symmetry_Int_Tables_number 1
_symmetry_space_group_name_Hall 'P 1'
loop_
_atom_site_label
_atom_site_type_symbol
_atom_site_fract_x
_atom_site_fract_y
_atom_site_fract_z
Ho1 Ho 0.082 0.082 0.253
Ho2 Ho 0.918 0.918 0.747
Th1 Th 0.000 0.000 0.500
Th2 Th 0.166 0.166 0.000
Th3 Th 0.250 0.250 0.748
Th4 Th 0.750 0.750 0.252
Th5 Th 0.834 0.834 0.000
Sc1 Sc 0.332 0.332 0.497
Sc2 Sc 0.416 0.416 0.254
Sc3 Sc 0.500 0.500 0.000
Sc4 Sc 0.584 0.584 0.746
Sc5 Sc 0.668 0.668 0.503
```

---

(3)
Diffraction record for Ag3HgW. The PXRD pattern is computed, not measured: it uses a DFT-relaxed cell (PBE, Alexandria) and Cu Kα.
Neutral-atom scattering factors, no anomalous dispersion.

Main lines, by intensity (2θ = 10–80°):
2θ 34.81, rel. 1000; 2θ 50.05, rel. 706; 2θ 24.42, rel. 674; 2θ 30.03, rel. 490; 2θ 42.98, rel. 318; 2θ 62.41, rel. 239; 2θ 59.48, rel. 197; 2θ 68.06, rel. 172; 2θ 56.45, rel. 147; 2θ 73.49, rel. 111

Structural model:
```
data_Ag3HgW
_chemical_formula_sum 'Ag3 Hg1 W1'
_cell_length_a 5.154
_cell_length_b 5.154
_cell_length_c 5.154
_cell_angle_alpha 90.00
_cell_angle_beta 90.00
_cell_angle_gamma 90.00
_symmetry_space_group_name_H-M 'P 1'
_symmetry_Int_Tables_number 1
_symmetry_space_group_name_Hall 'P 1'
loop_
_atom_site_label
_atom_site_type_symbol
_atom_site_fract_x
_atom_site_fract_y
_atom_site_fract_z
Ag1 Ag 0.000 0.000 0.500
Ag2 Ag 0.000 0.500 0.000
Ag3 Ag 0.500 0.000 0.000
Hg1 Hg 0.500 0.500 0.500
W1 W 0.000 0.000 0.000
```

---

(4)
Diffraction record for Ru3Pb3N5. The PXRD pattern is computed, not measured: it uses a DFT-relaxed cell (PBE, Alexandria) and Cu Kα.
Neutral-atom scattering factors, no anomalous dispersion.

Main lines, by intensity (2θ = 10–80°):
2θ 30.65, rel. 1000; 2θ 29.22, rel. 912; 2θ 31.76, rel. 548; 2θ 32.80, rel. 530; 2θ 33.83, rel. 524; 2θ 30.10, rel. 516; 2θ 38.99, rel. 246; 2θ 49.91, rel. 208; 2θ 41.09, rel. 200; 2θ 57.53, rel. 189

Structural model:
```
data_Ru3Pb3N5
_chemical_formula_sum 'Ru6 Pb6 N10'
_cell_length_a 6.236
_cell_length_b 7.578
_cell_length_c 8.310
_cell_angle_alpha 103.47
_cell_angle_beta 104.30
_cell_angle_gamma 90.10
_symmetry_space_group_name_H-M 'P 1'
_symmetry_Int_Tables_number 1
_symmetry_space_group_name_Hall 'P 1'
loop_
_atom_site_label
_atom_site_type_symbol
_atom_site_fract_x
_atom_site_fract_y
_atom_site_fract_z
Ru1 Ru 0.098 0.431 0.212
Ru2 Ru 0.136 0.191 0.532
Ru3 Ru 0.340 0.538 0.881
Ru4 Ru 0.660 0.462 0.119
Ru5 Ru 0.864 0.809 0.468
Ru6 Ru 0.902 0.569 0.788
Pb1 Pb 0.218 0.041 0.907
Pb2 Pb 0.357 0.813 0.246
Pb3 Pb 0.361 0.683 0.594
Pb4 Pb 0.639 0.317 0.406
Pb5 Pb 0.643 0.187 0.754
Pb6 Pb 0.782 0.959 0.093
N1 N 0.091 0.372 0.714
N2 N 0.139 0.741 0.943
N3 N 0.158 0.950 0.605
N4 N 0.224 0.286 0.372
N5 N 0.339 0.465 0.109
N6 N 0.661 0.535 0.891
N7 N 0.776 0.714 0.628
N8 N 0.842 0.050 0.395
N9 N 0.861 0.259 0.057
N10 N 0.909 0.628 0.286
```